The following is a theoretical powder diffraction line list of BeH6N2F2. It was derived from a crystal structure in Alexandria, relaxed with GGA-PBE, using a wavelength of 1.5418 Å.
Intensities are scaled so that the largest is 100.

Structural model:
```
data_BeH6N2F2
_chemical_formula_sum 'Be4 H24 N8 F8'
_cell_length_a 4.945
_cell_length_b 7.165
_cell_length_c 10.451
_cell_angle_alpha 90.00
_cell_angle_beta 91.73
_cell_angle_gamma 90.00
_space_group_name_H-M_alt 'P 1 21/c 1'
_space_group_IT_number 14
loop_
_space_group_symop_operation_xyz
'x,y,z'
'-x,-y,-z'
'-x,y+1/2,-z+1/2'
'x,-y+1/2,z+1/2'
loop_
_atom_site_label
_atom_site_type_symbol
_atom_site_fract_x
_atom_site_fract_y
_atom_site_fract_z
Be1 Be 0.113 0.140 0.181
H1 H 0.167 0.044 0.637
H2 H 0.220 0.675 0.675
H3 H 0.224 0.165 0.507
H4 H 0.250 0.587 0.531
H5 H 0.459 0.156 0.622
H6 H 0.487 0.544 0.643
N1 N 0.255 0.165 0.605
N2 N 0.282 0.559 0.627
F1 F 0.148 0.150 0.328
F2 F 0.193 0.634 0.358
```

Largest 10 diffraction maxima, most intense first, 10° ≤ 2θ ≤ 80°:
2θ/deg	intensity	h k l
31.9	100.0	1 2 -1
34.3	35.1	0 0 4
40.8	28.3	1 2 3
17.9	23.4	1 0 0
36.4	21.7	2 0 0
26.3	18.5	0 2 1
40.1	17.1	1 2 -3
17.0	16.3	0 0 2
15.0	15.6	0 1 1
21.0	13.1	0 1 2

---

The following is a theoretical powder diffraction line list of PrAlZn2Ag. It was derived from a crystal structure in Alexandria, relaxed with GGA-PBE, using a wavelength of 1.5418 Å.
Intensities are scaled so that the largest is 100.

Structural model:
```
data_PrAlZn2Ag
_chemical_formula_sum 'Pr2 Al2 Zn4 Ag2'
_cell_length_a 4.278
_cell_length_b 4.278
_cell_length_c 11.095
_cell_angle_alpha 90.00
_cell_angle_beta 90.00
_cell_angle_gamma 90.00
_space_group_name_H-M_alt 'I -4 m 2'
_space_group_IT_number 119
_space_group_name_Hall 'I -4 -2'
loop_
_atom_site_label
_atom_site_type_symbol
_atom_site_fract_x
_atom_site_fract_y
_atom_site_fract_z
Pr1 Pr 0.000 0.000 0.000
Al1 Al 0.000 0.500 0.750
Zn1 Zn 0.000 0.000 0.388
Ag1 Ag 0.000 0.500 0.250
```

Largest 10 diffraction maxima, most intense first, 10° ≤ 2θ ≤ 80°:
2θ/deg	intensity	h k l
33.7	100.0	1 1 2
32.0	65.9	1 0 3
42.2	51.3	2 0 0
46.1	36.9	1 0 5
54.0	29.3	2 1 3
64.3	26.3	2 1 5
22.3	25.4	1 0 1
71.8	21.2	3 1 2
61.3	16.4	2 2 0
29.5	16.0	1 1 0

---

The following is a theoretical powder diffraction line list of Na2NpBi2O6. It was derived from a crystal structure in Alexandria, relaxed with GGA-PBE, using a wavelength of 1.5418 Å.
Intensities are scaled so that the largest is 100.

Structural model:
```
data_Na2NpBi2O6
_chemical_formula_sum 'Na4 Np2 Bi4 O12'
_cell_length_a 6.345
_cell_length_b 10.513
_cell_length_c 6.031
_cell_angle_alpha 90.00
_cell_angle_beta 108.61
_cell_angle_gamma 90.00
_space_group_name_H-M_alt 'C 1 2/m 1'
_space_group_IT_number 12
loop_
_space_group_symop_operation_xyz
'x,y,z'
'-x,-y,-z'
'-x,y,-z'
'x,-y,z'
'x+1/2,y+1/2,z'
'-x+1/2,-y+1/2,-z'
'-x+1/2,y+1/2,-z'
'x+1/2,-y+1/2,z'
loop_
_atom_site_label
_atom_site_type_symbol
_atom_site_fract_x
_atom_site_fract_y
_atom_site_fract_z
Na1 Na 0.000 0.171 0.000
Np1 Np 0.000 0.000 0.500
Bi1 Bi 0.000 0.332 0.500
O1 O 0.176 0.000 0.277
O2 O 0.214 0.176 0.701
```

Largest 10 diffraction maxima, most intense first, 10° ≤ 2θ ≤ 80°:
2θ/deg	intensity	h k l
15.5	100.0	0 0 1
35.7	63.4	1 3 1
29.5	40.5	1 3 0
31.1	35.8	1 3 -1
29.7	21.0	2 0 0
28.8	20.0	2 0 -1
31.3	18.2	0 0 2
39.7	16.0	1 3 -2
50.4	14.9	3 3 -1
47.1	13.5	1 3 2

---

The following is a theoretical powder diffraction line list of Sr5Ca4Hg4. It was derived from a crystal structure in Alexandria, relaxed with GGA-PBE, using a wavelength of 1.5418 Å.
Intensities are scaled so that the largest is 100.

Structural model:
```
data_Sr5Ca4Hg4
_chemical_formula_sum 'Sr10 Ca8 Hg8'
_cell_length_a 14.473
_cell_length_b 14.473
_cell_length_c 4.618
_cell_angle_alpha 90.00
_cell_angle_beta 90.00
_cell_angle_gamma 90.00
_space_group_name_H-M_alt 'I 4/m'
_space_group_IT_number 87
_space_group_name_Hall '-I 4'
loop_
_atom_site_label
_atom_site_type_symbol
_atom_site_fract_x
_atom_site_fract_y
_atom_site_fract_z
Sr1 Sr 0.000 0.000 0.000
Sr2 Sr 0.133 0.192 0.500
Ca1 Ca 0.087 0.615 0.500
Hg1 Hg 0.044 0.761 0.000
```

Largest 10 diffraction maxima, most intense first, 10° ≤ 2θ ≤ 80°:
2θ/deg	intensity	h k l
29.5	100.0	2 3 1
32.0	87.6	4 1 1
17.3	57.4	2 2 0
26.7	40.3	3 0 1
31.5	35.4	5 1 0
36.2	31.7	3 5 0
39.0	26.2	0 0 2
20.2	25.9	1 0 1
62.5	24.0	7 6 1
54.9	23.7	8 1 1

---

The following is a theoretical powder diffraction line list of Tb2Be4Rh5. It was derived from a crystal structure in Alexandria, relaxed with GGA-PBE, using a wavelength of 1.5418 Å.
Intensities are scaled so that the largest is 100.

Structural model:
```
data_Tb2Be4Rh5
_chemical_formula_sum 'Tb8 Be16 Rh20'
_cell_length_a 5.695
_cell_length_b 9.377
_cell_length_c 12.312
_cell_angle_alpha 90.00
_cell_angle_beta 90.00
_cell_angle_gamma 90.00
_space_group_name_H-M_alt 'F m m m'
_space_group_IT_number 69
_space_group_name_Hall '-F 2 2'
loop_
_atom_site_label
_atom_site_type_symbol
_atom_site_fract_x
_atom_site_fract_y
_atom_site_fract_z
Tb1 Tb 0.000 0.000 0.137
Be1 Be 0.000 0.161 0.370
Rh1 Rh 0.000 0.000 0.500
Rh2 Rh 0.250 0.250 0.000
Rh3 Rh 0.250 0.250 0.250
```

Largest 10 diffraction maxima, most intense first, 10° ≤ 2θ ≤ 80°:
2θ/deg	intensity	h k l
36.9	100.0	2 2 0
28.4	75.1	1 1 3
34.9	62.4	0 2 4
38.4	44.4	0 4 0
43.3	37.9	2 0 4
39.5	36.2	1 3 3
59.2	26.4	2 4 4
72.7	23.6	2 2 8
68.5	17.3	2 6 0
54.1	12.6	3 1 3

---

The following is a theoretical powder diffraction line list of ThZr2Sc6. It was derived from a crystal structure in Alexandria, relaxed with GGA-PBE, using a wavelength of 1.5418 Å.
Intensities are scaled so that the largest is 100.

Structural model:
```
data_ThZr2Sc6
_chemical_formula_sum 'Th4 Zr8 Sc24'
_cell_length_a 9.733
_cell_length_b 16.085
_cell_length_c 5.704
_cell_angle_alpha 90.00
_cell_angle_beta 96.16
_cell_angle_gamma 90.00
_space_group_name_H-M_alt 'C 1 2/c 1'
_space_group_IT_number 15
loop_
_space_group_symop_operation_xyz
'x,y,z'
'-x,-y,-z'
'-x,y,-z+1/2'
'x,-y,z+1/2'
'x+1/2,y+1/2,z'
'-x+1/2,-y+1/2,-z'
'-x+1/2,y+1/2,-z+1/2'
'x+1/2,-y+1/2,z+1/2'
loop_
_atom_site_label
_atom_site_type_symbol
_atom_site_fract_x
_atom_site_fract_y
_atom_site_fract_z
Th1 Th 0.000 0.250 0.250
Zr1 Zr 0.250 0.091 0.499
Sc1 Sc 0.090 0.079 0.991
Sc2 Sc 0.090 0.421 0.992
Sc3 Sc 0.165 0.250 0.757
```

Largest 10 diffraction maxima, most intense first, 10° ≤ 2θ ≤ 80°:
2θ/deg	intensity	h k l
33.5	100.0	0 6 0
34.8	88.3	3 3 -1
33.9	59.1	3 1 1
18.1	47.1	1 1 -1
38.9	40.3	0 4 2
25.3	33.6	1 3 1
21.4	29.5	2 2 0
11.0	24.6	0 2 0
62.0	24.5	3 3 3
28.9	23.1	2 4 0

---

The following is a theoretical powder diffraction line list of MnPd6. It was derived from a crystal structure in Alexandria, relaxed with GGA-PBE, using a wavelength of 1.5418 Å.
Intensities are scaled so that the largest is 100.

Structural model:
```
data_MnPd6
_chemical_formula_sum 'Mn2 Pd12'
_cell_length_a 6.990
_cell_length_b 6.990
_cell_length_c 6.990
_cell_angle_alpha 90.00
_cell_angle_beta 90.00
_cell_angle_gamma 90.00
_space_group_name_H-M_alt 'I m -3 m'
_space_group_IT_number 229
_space_group_name_Hall '-I 4 2 3'
loop_
_atom_site_label
_atom_site_type_symbol
_atom_site_fract_x
_atom_site_fract_y
_atom_site_fract_z
Mn1 Mn 0.000 0.000 0.000
Pd1 Pd 0.000 0.250 0.500
```

Largest 10 diffraction maxima, most intense first, 10° ≤ 2θ ≤ 80°:
2θ/deg	intensity	h k l
31.3	100.0	2 1 1
17.9	68.4	1 1 0
44.9	57.5	2 2 2
48.7	56.4	3 2 1
25.5	43.0	2 0 0
52.4	38.2	4 0 0
77.2	23.5	4 4 0
40.8	16.7	3 1 0
59.1	15.5	4 2 0
74.3	15.3	5 2 1

---

The following is a theoretical powder diffraction line list of RbRu2O8. It was derived from a crystal structure in Alexandria, relaxed with GGA-PBE, using a wavelength of 1.5418 Å.
Intensities are scaled so that the largest is 100.

Structural model:
```
data_RbRu2O8
_chemical_formula_sum 'Rb2 Ru4 O16'
_cell_length_a 11.729
_cell_length_b 5.738
_cell_length_c 7.294
_cell_angle_alpha 90.00
_cell_angle_beta 113.97
_cell_angle_gamma 90.00
_space_group_name_H-M_alt 'C 1 2/m 1'
_space_group_IT_number 12
loop_
_space_group_symop_operation_xyz
'x,y,z'
'-x,-y,-z'
'-x,y,-z'
'x,-y,z'
'x+1/2,y+1/2,z'
'-x+1/2,-y+1/2,-z'
'-x+1/2,y+1/2,-z'
'x+1/2,-y+1/2,z'
loop_
_atom_site_label
_atom_site_type_symbol
_atom_site_fract_x
_atom_site_fract_y
_atom_site_fract_z
Rb1 Rb 0.000 0.000 0.000
Ru1 Ru 0.209 0.000 0.699
O1 O 0.129 0.500 0.190
O2 O 0.153 0.243 0.776
O3 O 0.157 0.000 0.439
```

Largest 10 diffraction maxima, most intense first, 10° ≤ 2θ ≤ 80°:
2θ/deg	intensity	h k l
24.0	100.0	1 1 1
27.8	97.4	3 1 -1
19.9	69.0	1 1 -1
17.5	63.5	1 1 0
25.1	59.8	2 0 -2
25.2	52.1	2 0 1
40.4	41.7	2 2 -2
16.5	39.1	2 0 0
41.1	36.3	1 1 -3
31.2	35.7	0 2 0

---

Repeat the eighth record exactly.
The following is a theoretical powder diffraction line list of RbRu2O8. It was derived from a crystal structure in Alexandria, relaxed with GGA-PBE, using a wavelength of 1.5418 Å.
Intensities are scaled so that the largest is 100.

Structural model:
```
data_RbRu2O8
_chemical_formula_sum 'Rb2 Ru4 O16'
_cell_length_a 11.729
_cell_length_b 5.738
_cell_length_c 7.294
_cell_angle_alpha 90.00
_cell_angle_beta 113.97
_cell_angle_gamma 90.00
_space_group_name_H-M_alt 'C 1 2/m 1'
_space_group_IT_number 12
loop_
_space_group_symop_operation_xyz
'x,y,z'
'-x,-y,-z'
'-x,y,-z'
'x,-y,z'
'x+1/2,y+1/2,z'
'-x+1/2,-y+1/2,-z'
'-x+1/2,y+1/2,-z'
'x+1/2,-y+1/2,z'
loop_
_atom_site_label
_atom_site_type_symbol
_atom_site_fract_x
_atom_site_fract_y
_atom_site_fract_z
Rb1 Rb 0.000 0.000 0.000
Ru1 Ru 0.209 0.000 0.699
O1 O 0.129 0.500 0.190
O2 O 0.153 0.243 0.776
O3 O 0.157 0.000 0.439
```

Largest 10 diffraction maxima, most intense first, 10° ≤ 2θ ≤ 80°:
2θ/deg	intensity	h k l
24.0	100.0	1 1 1
27.8	97.4	3 1 -1
19.9	69.0	1 1 -1
17.5	63.5	1 1 0
25.1	59.8	2 0 -2
25.2	52.1	2 0 1
40.4	41.7	2 2 -2
16.5	39.1	2 0 0
41.1	36.3	1 1 -3
31.2	35.7	0 2 0